(1)
LaThGaTc: theoretical X-ray diffraction stick pattern (λ = 1.5418 Å (Cu Kα)), based on DFT lattice parameters and positions (PBE).
No peak broadening, texture or thermal motion is included.

Principal peaks in the range 15° ≤ 2θ ≤ 90°, by intensity:
2θ (°)	Rel. int.
34.7	100
62.3	37
50.0	18
83.8	16
24.4	14
73.3	11
56.3	6
21.1	6
42.9	5
41.0	4

Crystal structure
abc: 5.1642 5.1642 5.1642
angles: 60.00 60.00 60.00
Fractional positions:
La  0.0000  0.0000  0.0000
Th  0.5000  0.5000  0.5000
Ga  0.7500  0.7500  0.7500
Tc  0.2500  0.2500  0.2500

(2)
LaVGa2Tc: theoretical X-ray diffraction stick pattern (λ = 1.5418 Å (Cu Kα)), based on DFT lattice parameters and positions (PBE).
No peak broadening, texture or thermal motion is included.

Principal peaks in the range 15° ≤ 2θ ≤ 90°, by intensity:
2θ (°)	Rel. int.
32.5	100
36.6	61
55.2	36
63.3	29
39.9	24
52.7	21
68.0	19
25.6	17
67.8	12
26.8	11

Crystal structure
abc: 4.9154 4.9154 4.5210
angles: 90.00 90.00 90.00
Fractional positions:
La  0.0000  0.0000  0.0000
V  0.5000  0.5000  0.5000
Ga  0.0000  0.5000  0.5000
Ga  0.5000  0.0000  0.5000
Tc  0.5000  0.5000  0.0000

(3)
LaGaTe: theoretical X-ray diffraction stick pattern (λ = 1.5418 Å (Cu Kα)), based on DFT lattice parameters and positions (PBE).
No peak broadening, texture or thermal motion is included.

Principal peaks in the range 15° ≤ 2θ ≤ 90°, by intensity:
2θ (°)	Rel. int.
28.9	100
40.3	51
30.5	26
23.1	25
50.4	21
42.3	18
66.4	18
36.0	13
62.4	13
56.3	11

Crystal structure
abc: 12.2326 12.2326 12.2326
angles: 21.07 21.07 21.07
Fractional positions:
La  0.0668  0.0668  0.0668
La  0.9332  0.9332  0.9332
Ga  0.3352  0.3352  0.3352
Ga  0.6648  0.6648  0.6648
Te  0.2189  0.2189  0.2189
Te  0.7811  0.7811  0.7811

Number 3 is which compound?
LaGaTe